# LiV3O5F3
Computed powder XRD pattern, copper Kα. Input: a cell relaxed with GGA+U.

abc: 6.763 3.784 12.247
angles: 90.00 104.31 90.00
Atoms (fractional coordinates):
Li1 0.000 0.000 0.000
Li2 0.331 0.500 0.388
V1 0.079 0.500 0.777
V2 0.291 0.000 0.624
V3 0.438 0.000 0.870
V4 0.491 0.000 0.153
V5 0.852 0.500 0.219
V6 0.882 0.500 0.494
O1 0.153 0.000 0.757
O2 0.196 0.500 0.608
O3 0.344 0.000 0.013
O4 0.387 0.500 0.859
O5 0.517 0.000 0.725
O6 0.559 0.500 0.183
O7 0.640 0.500 0.430
O8 0.786 0.000 0.190
O9 0.982 0.500 0.887
O10 0.998 0.500 0.358
F1 0.007 0.500 0.112
F2 0.333 0.000 0.258
F3 0.343 0.000 0.480
F4 0.705 0.000 0.955
F5 0.834 0.500 0.650
F6 0.952 0.000 0.517

The 10 most intense peaks (10 to 80 degrees two-theta), in order of falling intensity:
6.451 Å, 13.7 deg, rel. 100, (1 0 -1)
3.277 Å, 27.2 deg, rel. 91, (1 1 0)
2.995 Å, 29.8 deg, rel. 30, (1 0 -4)
1.892 Å, 48.1 deg, rel. 27, (0 2 0)
3.955 Å, 22.5 deg, rel. 24, (0 0 3)
2.263 Å, 39.8 deg, rel. 18, (2 0 3)
2.197 Å, 41.1 deg, rel. 17, (2 0 -5)
2.973 Å, 30.1 deg, rel. 12, (2 0 1)
5.933 Å, 14.9 deg, rel. 10, (0 0 2)
3.064 Å, 29.1 deg, rel. 10, (1 0 3)